Simulated PXRD pattern
Compound: Lu3S4
Radiation: copper Kα
Structure: the GGA-PBE geometry in the Materials Project

Atomic structure:
```
data_Lu3S4
_chemical_formula_sum 'Lu6 S8'
_cell_length_a 5.371
_cell_length_b 5.371
_cell_length_c 10.667
_cell_angle_alpha 90.00
_cell_angle_beta 90.00
_cell_angle_gamma 90.00
_symmetry_space_group_name_H-M 'I 4/m m m'
_symmetry_Int_Tables_number 139
_symmetry_space_group_name_Hall '-I 4 2'
loop_
_atom_site_label
_atom_site_fract_x
_atom_site_fract_y
_atom_site_fract_z
Lu1 0.000 0.000 0.000
Lu2 0.000 0.500 0.250
S1 0.000 0.000 0.251
S2 0.000 0.500 0.000
```

Top 10 peaks for 15 to 90 degrees two-theta, sorted by position:
Position (°2θ), I (rel.)
18.5, 59.9
28.9, 99.9
33.4, 100.0
33.6, 49.0
38.4, 19.2
47.9, 35.6
48.1, 70.5
56.9, 32.9
59.8, 36.5
89.5, 25.3

---

Simulated PXRD pattern
Compound: K5C4Br
Radiation: copper Kα
Structure: the GGA-PBE geometry in the Materials Project

Atomic structure:
```
data_K5C4Br
_chemical_formula_sum 'K10 C8 Br2'
_cell_length_a 9.917
_cell_length_b 9.917
_cell_length_c 6.339
_cell_angle_alpha 90.00
_cell_angle_beta 90.00
_cell_angle_gamma 90.00
_symmetry_space_group_name_H-M 'I 4/m'
_symmetry_Int_Tables_number 87
_symmetry_space_group_name_Hall '-I 4'
loop_
_atom_site_label
_atom_site_fract_x
_atom_site_fract_y
_atom_site_fract_z
K1 0.000 0.000 0.000
K2 0.109 0.314 0.500
C1 0.103 0.304 0.000
Br1 0.000 0.000 0.500
```

Top 10 peaks for 15 to 90 degrees two-theta, sorted by position:
Position (°2θ), I (rel.)
16.6, 22.3
17.9, 12.6
24.5, 33.8
28.2, 48.3
28.5, 100.0
40.5, 69.8
40.7, 31.2
50.2, 31.4
66.1, 13.9
73.9, 15.6

---

Simulated PXRD pattern
Compound: PrP2H2CO6
Radiation: copper Kα
Structure: the GGA-PBE geometry in the Materials Project

Atomic structure:
```
data_PrP2H2CO6
_chemical_formula_sum 'Pr4 P8 H8 C4 O24'
_cell_length_a 8.438
_cell_length_b 14.338
_cell_length_c 5.394
_cell_angle_alpha 90.00
_cell_angle_beta 110.85
_cell_angle_gamma 90.00
_symmetry_space_group_name_H-M 'C 1 2/m 1'
_symmetry_Int_Tables_number 12
loop_
_symmetry_equiv_pos_as_xyz
'x,y,z'
'-x,-y,-z'
'-x,y,-z'
'x,-y,z'
'x+1/2,y+1/2,z'
'-x+1/2,-y+1/2,-z'
'-x+1/2,y+1/2,-z'
'x+1/2,-y+1/2,z'
loop_
_atom_site_label
_atom_site_fract_x
_atom_site_fract_y
_atom_site_fract_z
Pr1 0.000 0.229 0.000
P1 0.245 0.389 0.374
H1 0.097 0.000 0.765
H2 0.185 0.500 0.026
C1 0.228 0.000 0.766
O1 0.052 0.370 0.307
O2 0.148 0.117 0.333
O3 0.208 0.187 0.795
```

Top 10 peaks for 15 to 90 degrees two-theta, sorted by position:
Position (°2θ), I (rel.)
17.6, 21.0
21.6, 100.0
23.2, 77.0
25.8, 57.4
26.3, 35.6
30.6, 87.4
33.8, 36.1
35.8, 29.1
37.0, 21.8
43.2, 24.4

---

Simulated PXRD pattern
Compound: Y5B4Rh15
Radiation: copper Kα
Structure: the GGA-PBE geometry in the Materials Project

Atomic structure:
```
data_Y5B4Rh15
_chemical_formula_sum 'Y5 B4 Rh15'
_cell_length_a 4.219
_cell_length_b 4.219
_cell_length_c 20.634
_cell_angle_alpha 90.00
_cell_angle_beta 90.00
_cell_angle_gamma 90.00
_symmetry_space_group_name_H-M 'P 4/m m m'
_symmetry_Int_Tables_number 123
_symmetry_space_group_name_Hall '-P 4 2'
loop_
_atom_site_label
_atom_site_fract_x
_atom_site_fract_y
_atom_site_fract_z
Y1 0.000 0.000 0.000
Y2 0.000 0.000 0.201
Y3 0.000 0.000 0.403
B1 0.500 0.500 0.102
B2 0.500 0.500 0.310
Rh1 0.000 0.500 0.101
Rh2 0.000 0.500 0.302
Rh3 0.000 0.500 0.500
Rh4 0.500 0.500 0.000
Rh5 0.500 0.500 0.204
Rh6 0.500 0.500 0.410
```

Top 9 peaks for 15 to 90 degrees two-theta, sorted by position:
Position (°2θ), I (rel.)
21.1, 0.7
37.2, 100.0
42.9, 35.8
43.9, 15.8
62.2, 11.6
63.0, 20.9
74.8, 24.8
76.2, 10.8
79.2, 10.7